# 1
Structure and computed XRD peak list of Mg2Ga (the GGA-PBE geometry in the Materials Project; Cu Kα, 1.54184 Å).
Lines closer than 0.1° are merged.

Cell and atoms:
```
data_Mg2Ga
_chemical_formula_sum 'Mg4 Ga2'
_cell_length_a 3.1178
_cell_length_b 3.1178
_cell_length_c 14.8289
_cell_angle_alpha 90.00
_cell_angle_beta 90.00
_cell_angle_gamma 120.00
_symmetry_space_group_name_H-M 'P -6 m 2'
_symmetry_Int_Tables_number 187
_symmetry_space_group_name_Hall 'P -6 2'
loop_
_atom_site_label
_atom_site_type_symbol
_atom_site_fract_x
_atom_site_fract_y
_atom_site_fract_z
_atom_site_occupancy
Mg1 Mg 0.0000 0.0000 0.0000 1
Mg2 Mg 0.0000 0.0000 0.3224 1
Mg3 Mg 0.3333 0.6667 0.5000 1
Ga1 Ga 0.3333 0.6667 0.1625 1
```

Peak list (6 most intense, 2θ = 15–90°, in order of rising 2θ)
2θ 17.95, d = 4.943 Å, intensity 202, (0 0 3)
2θ 33.18, d = 2.700 Å, intensity 336, (1 0 0)
2θ 36.35, d = 2.471 Å, intensity 231, (0 0 6)
2θ 37.97, d = 2.370 Å, intensity 1000, (1 0 3)
2θ 50.03, d = 1.823 Å, intensity 202, (1 0 6)
2θ 71.56, d = 1.319 Å, intensity 176, (1 1 6)

***

# 2
Structure and computed XRD peak list of MgGa (the GGA-PBE geometry in the Materials Project; Cu Kα, 1.54184 Å).
Lines closer than 0.1° are merged.

Cell and atoms:
```
data_MgGa
_chemical_formula_sum 'Mg2 Ga2'
_cell_length_a 3.251
_cell_length_b 5.134
_cell_length_c 4.831
_cell_angle_alpha 90.00
_cell_angle_beta 90.00
_cell_angle_gamma 90.00
_symmetry_space_group_name_H-M 'P m m n'
_symmetry_Int_Tables_number 59
loop_
_symmetry_equiv_pos_as_xyz
'x,y,z'
'-x,-y,-z'
'-x+1/2,-y+1/2,z'
'x+1/2,y+1/2,-z'
'x+1/2,-y,-z'
'-x+1/2,y,z'
'-x,y+1/2,-z'
'x,-y+1/2,z'
loop_
_atom_site_label
_atom_site_type_symbol
_atom_site_fract_x
_atom_site_fract_y
_atom_site_fract_z
_atom_site_occupancy
Mg1 Mg 0.250 0.250 0.093 1
Ga1 Ga 0.250 0.750 0.417 1
```

Peak list (6 most intense, 2θ = 15–90°, in order of rising 2θ)
2θ 18.37, d = 4.831 Å, intensity 364, (0 0 1)
2θ 32.60, d = 2.746 Å, intensity 232, (1 1 0)
2θ 33.22, d = 2.697 Å, intensity 248, (1 0 1)
2θ 34.95, d = 2.567 Å, intensity 417, (0 2 0)
2θ 37.68, d = 2.388 Å, intensity 1000, (1 1 1)
2θ 41.31, d = 2.186 Å, intensity 398, (0 1 2)

***

# 3
Structure and computed XRD peak list of Mg2Ga (the GGA-PBE geometry in the Materials Project; Cu Kα, 1.54184 Å).
Lines closer than 0.1° are merged.

Cell and atoms:
```
data_Mg2Ga
_chemical_formula_sum 'Mg4 Ga2'
_cell_length_a 3.1180
_cell_length_b 3.1180
_cell_length_c 14.9894
_cell_angle_alpha 90.00
_cell_angle_beta 90.00
_cell_angle_gamma 120.00
_symmetry_space_group_name_H-M 'P -3 m 1'
_symmetry_Int_Tables_number 164
_symmetry_space_group_name_Hall '-P 3 2"'
loop_
_atom_site_label
_atom_site_type_symbol
_atom_site_fract_x
_atom_site_fract_y
_atom_site_fract_z
_atom_site_occupancy
Mg1 Mg 0.3333 0.6667 0.0839 1
Mg2 Mg 0.3333 0.6667 0.7397 1
Ga1 Ga 0.3333 0.6667 0.4235 1
```

Peak list (6 most intense, 2θ = 15–90°, in order of rising 2θ)
2θ 33.18, d = 2.700 Å, intensity 245, (1 0 0)
2θ 35.95, d = 2.498 Å, intensity 244, (0 0 6)
2θ 37.87, d = 2.376 Å, intensity 1000, (0 1 3)
2θ 59.27, d = 1.559 Å, intensity 175, (1 1 0)
2θ 65.89, d = 1.418 Å, intensity 161, (0 1 9)
2θ 71.31, d = 1.323 Å, intensity 182, (1 1 6)

***

# 4
Structure and computed XRD peak list of MgGa3 (the GGA-PBE geometry in the Materials Project; Cu Kα, 1.54184 Å).
Lines closer than 0.1° are merged.

Cell and atoms:
```
data_MgGa3
_chemical_formula_sum 'Mg2 Ga6'
_cell_length_a 4.311
_cell_length_b 4.311
_cell_length_c 8.104
_cell_angle_alpha 90.00
_cell_angle_beta 90.00
_cell_angle_gamma 90.00
_symmetry_space_group_name_H-M 'I 4/m m m'
_symmetry_Int_Tables_number 139
_symmetry_space_group_name_Hall '-I 4 2'
loop_
_atom_site_label
_atom_site_type_symbol
_atom_site_fract_x
_atom_site_fract_y
_atom_site_fract_z
_atom_site_occupancy
Mg1 Mg 0.000 0.000 0.000 1
Ga1 Ga 0.000 0.000 0.500 1
Ga2 Ga 0.000 0.500 0.250 1
```

Peak list (6 most intense, 2θ = 15–90°, in order of rising 2θ)
2θ 23.37, d = 3.806 Å, intensity 120, (1 0 1)
2θ 36.90, d = 2.436 Å, intensity 1000, (1 1 2)
2θ 41.91, d = 2.156 Å, intensity 348, (2 0 0)
2θ 44.73, d = 2.026 Å, intensity 144, (0 0 4)
2θ 62.96, d = 1.476 Å, intensity 200, (2 0 4)
2θ 73.26, d = 1.292 Å, intensity 250, (3 1 2)

***

# 5
Structure and computed XRD peak list of Mg2Ga (the GGA-PBE geometry in the Materials Project; Cu Kα, 1.54184 Å).
Lines closer than 0.1° are merged.

Cell and atoms:
```
data_Mg2Ga
_chemical_formula_sum 'Mg8 Ga4'
_cell_length_a 3.023
_cell_length_b 15.898
_cell_length_c 5.131
_cell_angle_alpha 90.00
_cell_angle_beta 90.00
_cell_angle_gamma 90.00
_symmetry_space_group_name_H-M 'C m c m'
_symmetry_Int_Tables_number 63
_symmetry_space_group_name_Hall '-C 2c 2'
loop_
_atom_site_label
_atom_site_type_symbol
_atom_site_fract_x
_atom_site_fract_y
_atom_site_fract_z
_atom_site_occupancy
Mg1 Mg 0.000 0.103 0.250 1
Mg2 Mg 0.000 0.218 0.750 1
Ga1 Ga 0.000 0.443 0.250 1
```

Peak list (6 most intense, 2θ = 15–90°, in order of rising 2θ)
2θ 20.60, d = 4.311 Å, intensity 232, (0 2 1)
2θ 34.15, d = 2.626 Å, intensity 201, (1 3 0)
2θ 34.97, d = 2.566 Å, intensity 452, (0 0 2)
2θ 38.23, d = 2.354 Å, intensity 447, (0 6 1)
2θ 38.51, d = 2.338 Å, intensity 1000, (1 3 1)
2θ 65.09, d = 1.433 Å, intensity 201, (1 3 3)

***

# 6
Structure and computed XRD peak list of MgGa (the GGA-PBE geometry in the Materials Project; Cu Kα, 1.54184 Å).
Lines closer than 0.1° are merged.

Cell and atoms:
```
data_MgGa
_chemical_formula_sum 'Mg2 Ga2'
_cell_length_a 3.2058
_cell_length_b 3.2058
_cell_length_c 9.1082
_cell_angle_alpha 90.00
_cell_angle_beta 90.00
_cell_angle_gamma 120.00
_symmetry_space_group_name_H-M 'P -3 m 1'
_symmetry_Int_Tables_number 164
_symmetry_space_group_name_Hall '-P 3 2"'
loop_
_atom_site_label
_atom_site_type_symbol
_atom_site_fract_x
_atom_site_fract_y
_atom_site_fract_z
_atom_site_occupancy
Mg1 Mg 0.3333 0.6667 0.1381 1
Ga1 Ga 0.3333 0.6667 0.6128 1
```

Peak list (6 most intense, 2θ = 15–90°, in order of rising 2θ)
2θ 32.24, d = 2.776 Å, intensity 267, (1 0 0)
2θ 33.75, d = 2.656 Å, intensity 187, (1 0 1)
2θ 37.96, d = 2.371 Å, intensity 1000, (1 0 2)
2θ 39.58, d = 2.277 Å, intensity 183, (0 0 4)
2θ 57.49, d = 1.603 Å, intensity 196, (1 1 0)
2θ 72.05, d = 1.311 Å, intensity 175, (1 1 4)

***

# 7
Structure and computed XRD peak list of MgGa2 (the GGA-PBE geometry in the Materials Project; Cu Kα, 1.54184 Å).
Lines closer than 0.1° are merged.

Cell and atoms:
```
data_MgGa2
_chemical_formula_sum 'Mg4 Ga8'
_cell_length_a 10.875
_cell_length_b 3.187
_cell_length_c 7.054
_cell_angle_alpha 90.00
_cell_angle_beta 107.27
_cell_angle_gamma 90.00
_symmetry_space_group_name_H-M 'C 1 2/m 1'
_symmetry_Int_Tables_number 12
loop_
_symmetry_equiv_pos_as_xyz
'x,y,z'
'-x,-y,-z'
'-x,y,-z'
'x,-y,z'
'x+1/2,y+1/2,z'
'-x+1/2,-y+1/2,-z'
'-x+1/2,y+1/2,-z'
'x+1/2,-y+1/2,z'
loop_
_atom_site_label
_atom_site_type_symbol
_atom_site_fract_x
_atom_site_fract_y
_atom_site_fract_z
_atom_site_occupancy
Mg1 Mg 0.139 0.000 0.033 1
Ga1 Ga 0.028 0.500 0.315 1
Ga2 Ga 0.190 0.000 0.630 1
```

Peak list (6 most intense, 2θ = 15–90°, in order of rising 2θ)
2θ 33.32, d = 2.689 Å, intensity 430, (1 1 1)
2θ 36.91, d = 2.435 Å, intensity 682, (4 0 -2)
2θ 38.06, d = 2.364 Å, intensity 1000, (1 1 -2)
2θ 38.39, d = 2.345 Å, intensity 959, (3 1 0)
2θ 40.16, d = 2.245 Å, intensity 392, (0 0 3)
2θ 40.79, d = 2.212 Å, intensity 361, (4 0 1)

***

# 8
Structure and computed XRD peak list of MgGa (the GGA-PBE geometry in the Materials Project; Cu Kα, 1.54184 Å).
Lines closer than 0.1° are merged.

Cell and atoms:
```
data_MgGa
_chemical_formula_sum 'Mg6 Ga6'
_cell_length_a 4.978
_cell_length_b 3.100
_cell_length_c 15.255
_cell_angle_alpha 90.00
_cell_angle_beta 90.00
_cell_angle_gamma 90.00
_symmetry_space_group_name_H-M 'A m m 2'
_symmetry_Int_Tables_number 38
loop_
_symmetry_equiv_pos_as_xyz
'x,y,z'
'-x,-y,z'
'-x,y,z'
'x,-y,z'
'x,y+1/2,z+1/2'
'-x,-y+1/2,z+1/2'
'-x,y+1/2,z+1/2'
'x,-y+1/2,z+1/2'
loop_
_atom_site_label
_atom_site_type_symbol
_atom_site_fract_x
_atom_site_fract_y
_atom_site_fract_z
_atom_site_occupancy
Mg1 Mg 0.000 0.000 0.000 1
Mg2 Mg 0.000 0.000 0.326 1
Mg3 Mg 0.500 0.000 0.116 1
Ga1 Ga 0.000 0.000 0.667 1
Ga2 Ga 0.500 0.000 0.443 1
Ga3 Ga 0.500 0.000 0.778 1
```

Peak list (6 most intense, 2θ = 15–90°, in order of rising 2θ)
2θ 21.31, d = 4.169 Å, intensity 276, (1 0 2)
2θ 33.86, d = 2.647 Å, intensity 238, (0 1 3)
2θ 36.09, d = 2.489 Å, intensity 391, (2 0 0)
2θ 38.52, d = 2.337 Å, intensity 1000, (1 1 3)
2θ 39.81, d = 2.264 Å, intensity 429, (1 0 6)
2θ 66.51, d = 1.406 Å, intensity 189, (3 1 3)

***

# 9
Structure and computed XRD peak list of MgGa2 (the GGA-PBE geometry in the Materials Project; Cu Kα, 1.54184 Å).
Lines closer than 0.1° are merged.

Cell and atoms:
```
data_MgGa2
_chemical_formula_sum 'Mg4 Ga8'
_cell_length_a 10.734
_cell_length_b 3.211
_cell_length_c 7.104
_cell_angle_alpha 90.00
_cell_angle_beta 107.92
_cell_angle_gamma 90.00
_symmetry_space_group_name_H-M 'C 1 2/m 1'
_symmetry_Int_Tables_number 12
loop_
_symmetry_equiv_pos_as_xyz
'x,y,z'
'-x,-y,-z'
'-x,y,-z'
'x,-y,z'
'x+1/2,y+1/2,z'
'-x+1/2,-y+1/2,-z'
'-x+1/2,y+1/2,-z'
'x+1/2,-y+1/2,z'
loop_
_atom_site_label
_atom_site_type_symbol
_atom_site_fract_x
_atom_site_fract_y
_atom_site_fract_z
_atom_site_occupancy
Mg1 Mg 0.027 0.000 0.293 1
Ga1 Ga 0.146 0.500 0.033 1
Ga2 Ga 0.193 0.500 0.641 1
```

Peak list (6 most intense, 2θ = 15–90°, in order of rising 2θ)
2θ 17.36, d = 5.107 Å, intensity 371, (2 0 0)
2θ 33.21, d = 2.698 Å, intensity 400, (1 1 1)
2θ 37.02, d = 2.428 Å, intensity 687, (4 0 -2)
2θ 37.77, d = 2.382 Å, intensity 997, (1 1 -2)
2θ 38.54, d = 2.336 Å, intensity 1000, (3 1 0)
2θ 40.02, d = 2.253 Å, intensity 385, (0 0 3)

***

# 10
Structure and computed XRD peak list of MgGa (the GGA-PBE geometry in the Materials Project; Cu Kα, 1.54184 Å).
Lines closer than 0.1° are merged.

Cell and atoms:
```
data_MgGa
_chemical_formula_sum 'Mg3 Ga3'
_cell_length_a 3.0643
_cell_length_b 3.0643
_cell_length_c 15.0017
_cell_angle_alpha 90.00
_cell_angle_beta 90.00
_cell_angle_gamma 120.00
_symmetry_space_group_name_H-M 'P 3 m 1'
_symmetry_Int_Tables_number 156
loop_
_symmetry_equiv_pos_as_xyz
'x,y,z'
'-y,x-y,z'
'-x+y,-x,z'
'-y,-x,z'
'-x+y,y,z'
'x,x-y,z'
loop_
_atom_site_label
_atom_site_type_symbol
_atom_site_fract_x
_atom_site_fract_y
_atom_site_fract_z
_atom_site_occupancy
Mg1 Mg 0.0000 0.0000 0.0000 1
Mg2 Mg 0.0000 0.0000 0.3258 1
Mg3 Mg 0.3333 0.6667 0.8214 1
Ga1 Ga 0.0000 0.0000 0.6586 1
Ga2 Ga 0.3333 0.6667 0.1615 1
Ga3 Ga 0.3333 0.6667 0.4957 1
```

Peak list (6 most intense, 2θ = 15–90°, in order of rising 2θ)
2θ 33.78, d = 2.654 Å, intensity 255, (1 0 0)
2θ 35.91, d = 2.501 Å, intensity 325, (0 0 6)
2θ 38.40, d = 2.344 Å, intensity 1000, (1 0 3)
2θ 60.42, d = 1.532 Å, intensity 182, (1 1 0)
2θ 66.21, d = 1.412 Å, intensity 186, (1 0 9)
2θ 72.33, d = 1.306 Å, intensity 206, (1 1 6)

***

# 11
Structure and computed XRD peak list of MgGa2 (the GGA-PBE geometry in the Materials Project; Cu Kα, 1.54184 Å).
Lines closer than 0.1° are merged.

Cell and atoms:
```
data_MgGa2
_chemical_formula_sum 'Mg8 Ga16'
_cell_length_a 6.885
_cell_length_b 16.376
_cell_length_c 4.139
_cell_angle_alpha 90.00
_cell_angle_beta 90.00
_cell_angle_gamma 90.00
_symmetry_space_group_name_H-M 'P b a m'
_symmetry_Int_Tables_number 55
loop_
_symmetry_equiv_pos_as_xyz
'x,y,z'
'-x,-y,-z'
'-x,-y,z'
'x,y,-z'
'x+1/2,-y+1/2,-z'
'-x+1/2,y+1/2,z'
'-x+1/2,y+1/2,-z'
'x+1/2,-y+1/2,z'
loop_
_atom_site_label
_atom_site_type_symbol
_atom_site_fract_x
_atom_site_fract_y
_atom_site_fract_z
_atom_site_occupancy
Mg1 Mg 0.176 0.077 0.000 1
Mg2 Mg 0.202 0.780 0.000 1
Ga1 Ga 0.030 0.658 0.500 1
Ga2 Ga 0.091 0.190 0.500 1
Ga3 Ga 0.098 0.433 0.000 1
Ga4 Ga 0.143 0.938 0.500 1
```

Peak list (6 most intense, 2θ = 15–90°, in order of rising 2θ)
2θ 25.31, d = 3.519 Å, intensity 446, (1 4 0)
2θ 33.42, d = 2.681 Å, intensity 378, (1 4 1)
2θ 37.78, d = 2.381 Å, intensity 1000, (2 3 1)
2θ 43.74, d = 2.070 Å, intensity 497, (0 0 2)
2θ 45.30, d = 2.002 Å, intensity 358, (3 4 0)
2θ 46.53, d = 1.952 Å, intensity 578, (1 7 1)

***

# 12
Structure and computed XRD peak list of Mg2Ga (the GGA-PBE geometry in the Materials Project; Cu Kα, 1.54184 Å).
Lines closer than 0.1° are merged.

Cell and atoms:
```
data_Mg2Ga
_chemical_formula_sum 'Mg4 Ga2'
_cell_length_a 3.1013
_cell_length_b 3.1013
_cell_length_c 15.0969
_cell_angle_alpha 90.00
_cell_angle_beta 90.00
_cell_angle_gamma 120.00
_symmetry_space_group_name_H-M 'P 63/m m c'
_symmetry_Int_Tables_number 194
_symmetry_space_group_name_Hall '-P 6c 2c'
loop_
_atom_site_label
_atom_site_type_symbol
_atom_site_fract_x
_atom_site_fract_y
_atom_site_fract_z
_atom_site_occupancy
Mg1 Mg 0.3333 0.6667 0.0892 1
Ga1 Ga 0.3333 0.6667 0.7500 1
```

Peak list (6 most intense, 2θ = 15–90°, in order of rising 2θ)
2θ 33.36, d = 2.686 Å, intensity 240, (1 0 0)
2θ 33.90, d = 2.644 Å, intensity 187, (1 0 1)
2θ 35.68, d = 2.516 Å, intensity 261, (0 0 6)
2θ 37.97, d = 2.369 Å, intensity 1000, (1 0 3)
2θ 65.62, d = 1.423 Å, intensity 181, (1 0 9)
2θ 71.46, d = 1.320 Å, intensity 190, (1 1 6)